No. 1
Theoretical XRD peak list
Compound: NdPOs2C
Radiation: Cu Ka
Structure: a structure optimized by DFT (PBE)
No peak broadening, texture or thermal motion is included.

Peak list (10 most intense, 15° ≤ 2θ ≤ 90°, low angle first)
27.1°, I 23, (1 1 1); 29.8°, I 35, (0 2 2); 33.3°, I 100, (1 3 0); 34.7°, I 29, (0 4 1); 34.9°, I 80, (1 1 2); 41.3°, I 46, (0 2 3); 45.3°, I 30, (1 1 3); 46.1°, I 32, (2 0 0); 61.9°, I 26, (1 5 3); 63.6°, I 26, (2 2 3)

Cell and atoms:
```
data_NdPOs2C
_chemical_formula_sum 'Nd4 P4 Os8 C4'
_symmetry_space_group_name_H-M 'C m c m'
_symmetry_Int_Tables_number 63
_symmetry_space_group_name_Hall '-C 2c 2'
_cell_length_a 3.938
_cell_length_b 11.076
_cell_length_c 7.139
_cell_angle_alpha 90.00
_cell_angle_beta 90.00
_cell_angle_gamma 90.00
loop_
_atom_site_label
_atom_site_fract_x
_atom_site_fract_y
_atom_site_fract_z
Nd1 0.000 0.046 0.250
P1 0.000 0.230 0.750
Os1 0.000 0.332 0.053
C1 0.000 0.500 0.000
```

No. 2
Theoretical XRD peak list
Compound: Nd2SmOsC2
Radiation: Cu Ka
Structure: a structure optimized by DFT (PBE)
No peak broadening, texture or thermal motion is included.

Peak list (10 most intense, 15° ≤ 2θ ≤ 90°, low angle first)
17.3°, I 8, (1 1 0); 31.2°, I 26, (2 0 0); 31.5°, I 16, (0 4 0); 32.0°, I 100, (1 2 1); 44.9°, I 13, (2 4 0); 46.7°, I 11, (0 0 2); 55.9°, I 16, (3 2 1); 57.2°, I 9, (2 0 2); 66.8°, I 8, (2 4 2); 77.3°, I 8, (1 2 3)

Cell and atoms:
```
data_Nd2SmOsC2
_chemical_formula_sum 'Nd4 Sm2 Os2 C4'
_symmetry_space_group_name_H-M 'P n n m'
_symmetry_Int_Tables_number 58
_cell_length_a 5.741
_cell_length_b 11.351
_cell_length_c 3.889
_cell_angle_alpha 90.00
_cell_angle_beta 90.00
_cell_angle_gamma 90.00
loop_
_symmetry_equiv_pos_as_xyz
'x,y,z'
'-x,-y,-z'
'-x,-y,z'
'x,y,-z'
'x+1/2,-y+1/2,-z+1/2'
'-x+1/2,y+1/2,z+1/2'
'-x+1/2,y+1/2,-z+1/2'
'x+1/2,-y+1/2,z+1/2'
loop_
_atom_site_label
_atom_site_fract_x
_atom_site_fract_y
_atom_site_fract_z
Nd1 0.041 0.207 0.000
Sm1 0.000 0.500 0.500
Os1 0.000 0.000 0.500
C1 0.236 0.610 0.000
```

No. 3
Theoretical XRD peak list
Compound: NdPRu2C
Radiation: Cu Ka
Structure: a structure optimized by DFT (PBE)
No peak broadening, texture or thermal motion is included.

Peak list (10 most intense, 15° ≤ 2θ ≤ 90°, low angle first)
27.2°, I 13, (1 1 1); 29.8°, I 25, (0 2 2); 33.5°, I 56, (1 3 0); 34.9°, I 100, (1 1 2); 35.8°, I 24, (1 3 1); 41.2°, I 21, (0 2 3); 45.2°, I 12, (1 1 3); 46.5°, I 22, (2 0 0); 62.0°, I 18, (1 5 3); 63.8°, I 16, (2 2 3)

Cell and atoms:
```
data_NdPRu2C
_chemical_formula_sum 'Nd4 P4 Ru8 C4'
_symmetry_space_group_name_H-M 'C m c m'
_symmetry_Int_Tables_number 63
_symmetry_space_group_name_Hall '-C 2c 2'
_cell_length_a 3.909
_cell_length_b 11.012
_cell_length_c 7.165
_cell_angle_alpha 90.00
_cell_angle_beta 90.00
_cell_angle_gamma 90.00
loop_
_atom_site_label
_atom_site_fract_x
_atom_site_fract_y
_atom_site_fract_z
Nd1 0.000 0.047 0.250
P1 0.000 0.229 0.750
Ru1 0.000 0.333 0.054
C1 0.000 0.500 0.000
```

No. 4
Theoretical XRD peak list
Compound: Nd4PCS2
Radiation: Cu Ka
Structure: a structure optimized by DFT (PBE)
No peak broadening, texture or thermal motion is included.

Peak list (10 most intense, 15° ≤ 2θ ≤ 90°, low angle first)
27.0°, I 88, (1 1 2); 31.3°, I 100, (2 0 0); 42.5°, I 9, (1 0 5); 44.8°, I 69, (2 2 0); 53.1°, I 38, (3 1 2); 55.7°, I 23, (2 2 4); 65.2°, I 10, (4 0 0); 71.9°, I 13, (3 3 2); 74.1°, I 27, (4 2 0); 82.6°, I 19, (4 2 4)

Cell and atoms:
```
data_Nd4PCS2
_chemical_formula_sum 'Nd8 P2 C2 S4'
_symmetry_space_group_name_H-M 'I -4 m 2'
_symmetry_Int_Tables_number 119
_symmetry_space_group_name_Hall 'I -4 -2'
_cell_length_a 5.719
_cell_length_b 5.719
_cell_length_c 11.451
_cell_angle_alpha 90.00
_cell_angle_beta 90.00
_cell_angle_gamma 90.00
loop_
_atom_site_label
_atom_site_fract_x
_atom_site_fract_y
_atom_site_fract_z
Nd1 0.000 0.000 0.227
Nd2 0.000 0.500 0.002
P1 0.000 0.500 0.250
C1 0.000 0.000 0.000
S1 0.000 0.000 0.500
S2 0.000 0.500 0.750
```

No. 5
Theoretical XRD peak list
Compound: Nd7Pb4C
Radiation: Cu Ka
Structure: a structure optimized by DFT (PBE)
No peak broadening, texture or thermal motion is included.

Peak list (10 most intense, 15° ≤ 2θ ≤ 90°, low angle first)
18.0°, I 21, (1 1 0); 23.4°, I 24, (3 1 -1); 25.2°, I 17, (4 0 -3); 31.9°, I 100, (3 1 1); 32.5°, I 36, (2 0 -4); 33.2°, I 75, (5 1 -3); 33.9°, I 45, (0 2 0); 45.7°, I 17, (8 0 -2); 47.7°, I 25, (2 2 -4); 59.4°, I 23, (3 3 1)

Cell and atoms:
```
data_Nd7Pb4C
_chemical_formula_sum 'Nd14 Pb8 C2'
_symmetry_space_group_name_H-M 'C 1 2/m 1'
_symmetry_Int_Tables_number 12
_cell_length_a 16.529
_cell_length_b 5.288
_cell_length_c 11.514
_cell_angle_alpha 90.00
_cell_angle_beta 126.25
_cell_angle_gamma 90.00
loop_
_symmetry_equiv_pos_as_xyz
'x,y,z'
'-x,-y,-z'
'-x,y,-z'
'x,-y,z'
'x+1/2,y+1/2,z'
'-x+1/2,-y+1/2,-z'
'-x+1/2,y+1/2,-z'
'x+1/2,-y+1/2,z'
loop_
_atom_site_label
_atom_site_fract_x
_atom_site_fract_y
_atom_site_fract_z
Nd1 0.000 0.000 0.000
Nd2 0.065 0.500 0.245
Nd3 0.138 0.000 0.538
Nd4 0.217 0.500 0.867
Pb1 0.081 0.000 0.776
Pb2 0.223 0.000 0.343
C1 0.000 0.500 0.000
```

No. 6
Theoretical XRD peak list
Compound: Nd4SbPbC
Radiation: Cu Ka
Structure: a structure optimized by DFT (PBE)
No peak broadening, texture or thermal motion is included.

Peak list (10 most intense, 15° ≤ 2θ ≤ 90°, low angle first)
25.1°, I 20, (2 0 0); 27.3°, I 61, (2 2 0); 32.7°, I 26, (0 6 0); 33.3°, I 100, (2 4 0); 35.7°, I 59, (2 0 2); 49.2°, I 37, (2 6 2); 59.2°, I 14, (4 2 2); 62.2°, I 35, (2 10 0); 62.7°, I 33, (4 4 2); 84.9°, I 23, (4 10 2)

Cell and atoms:
```
data_Nd4SbPbC
_chemical_formula_sum 'Nd16 Sb4 Pb4 C4'
_symmetry_space_group_name_H-M 'C m c m'
_symmetry_Int_Tables_number 63
_symmetry_space_group_name_Hall '-C 2c 2'
_cell_length_a 7.106
_cell_length_b 16.450
_cell_length_c 7.105
_cell_angle_alpha 90.00
_cell_angle_beta 90.00
_cell_angle_gamma 90.00
loop_
_atom_site_label
_atom_site_fract_x
_atom_site_fract_y
_atom_site_fract_z
Nd1 0.000 0.090 0.250
Nd2 0.000 0.409 0.250
Nd3 0.250 0.250 0.000
Sb1 0.000 0.111 0.750
Pb1 0.000 0.392 0.750
C1 0.000 0.249 0.250
```

No. 7
Theoretical XRD peak list
Compound: Pm4Nd2C
Radiation: Cu Ka
Structure: a structure optimized by DFT (PBE)
No peak broadening, texture or thermal motion is included.

Peak list (10 most intense, 15° ≤ 2θ ≤ 90°, low angle first)
28.2°, I 38, (0 1 2); 28.8°, I 67, (0 0 18); 30.9°, I 100, (0 1 8); 32.4°, I 98, (1 0 10); 49.6°, I 41, (1 1 0); 54.3°, I 22, (1 0 28); 58.4°, I 45, (1 1 18); 59.6°, I 20, (2 0 8); 60.5°, I 21, (0 2 10); 81.1°, I 24, (1 2 8)

Cell and atoms:
```
data_Pm4Nd2C
_chemical_formula_sum 'Pm12 Nd6 C3'
_symmetry_space_group_name_H-M 'R -3 m'
_symmetry_Int_Tables_number 166
_symmetry_space_group_name_Hall '-R 3 2"'
_cell_length_a 3.6739
_cell_length_b 3.6739
_cell_length_c 55.8624
_cell_angle_alpha 90.00
_cell_angle_beta 90.00
_cell_angle_gamma 120.00
loop_
_atom_site_label
_atom_site_fract_x
_atom_site_fract_y
_atom_site_fract_z
Pm1 0.0000 0.0000 0.1395
Pm2 0.0000 0.0000 0.3586
Nd1 0.0000 0.0000 0.2453
C1 0.0000 0.0000 0.0000
```

No. 8
Theoretical XRD peak list
Compound: NdPtC
Radiation: Cu Ka
Structure: a structure optimized by DFT (PBE)
No peak broadening, texture or thermal motion is included.

Peak list (10 most intense, 15° ≤ 2θ ≤ 90°, low angle first)
25.8°, I 44, (1 1 0); 29.5°, I 63, (1 0 2); 33.1°, I 60, (0 1 2); 36.0°, I 100, (1 0 3); 37.1°, I 37, (1 1 3); 38.7°, I 30, (0 1 -3); 43.6°, I 68, (1 2 0); 44.1°, I 37, (1 -1 0); 45.4°, I 36, (2 1 1); 45.6°, I 33, (1 0 -3)

Cell and atoms:
```
data_NdPtC
_chemical_formula_sum 'Nd2 Pt2 C2'
_symmetry_space_group_name_H-M 'P 1'
_symmetry_Int_Tables_number 1
_cell_length_a 3.997
_cell_length_b 4.169
_cell_length_c 8.866
_cell_angle_alpha 86.73
_cell_angle_beta 77.02
_cell_angle_gamma 61.41
loop_
_symmetry_equiv_pos_as_xyz
'x,y,z'
loop_
_atom_site_label
_atom_site_fract_x
_atom_site_fract_y
_atom_site_fract_z
Nd1 0.000 0.000 0.000
Nd2 0.360 0.736 0.545
Pt1 0.212 0.378 0.200
Pt2 0.795 0.053 0.360
C1 0.760 0.658 0.820
C2 0.950 0.374 0.727
```

No. 9
Theoretical XRD peak list
Compound: NdPuC
Radiation: Cu Ka
Structure: a structure optimized by DFT (PBE)
No peak broadening, texture or thermal motion is included.

Peak list (10 most intense, 15° ≤ 2θ ≤ 90°, low angle first)
27.5°, I 60, (1 0 0); 29.5°, I 100, (0 1 1); 36.1°, I 33, (0 0 2); 40.8°, I 95, (1 1 1); 46.0°, I 31, (1 0 2); 47.8°, I 15, (0 2 0); 56.0°, I 17, (1 2 0); 65.4°, I 22, (2 1 1); 68.1°, I 21, (1 1 3); 68.5°, I 19, (1 2 2)

Cell and atoms:
```
data_NdPuC
_chemical_formula_sum 'Nd1 Pu1 C1'
_symmetry_space_group_name_H-M 'P m m m'
_symmetry_Int_Tables_number 47
_cell_length_a 3.238
_cell_length_b 3.807
_cell_length_c 4.976
_cell_angle_alpha 90.00
_cell_angle_beta 90.00
_cell_angle_gamma 90.00
loop_
_symmetry_equiv_pos_as_xyz
'x,y,z'
'-x,-y,-z'
'-x,-y,z'
'x,y,-z'
'x,-y,-z'
'-x,y,z'
'-x,y,-z'
'x,-y,z'
loop_
_atom_site_label
_atom_site_fract_x
_atom_site_fract_y
_atom_site_fract_z
Nd1 0.000 0.000 0.000
Pu1 0.000 0.500 0.500
C1 0.500 0.000 0.500
```

No. 10
Theoretical XRD peak list
Compound: Nd2ReC2
Radiation: Cu Ka
Structure: a structure optimized by DFT (PBE)
No peak broadening, texture or thermal motion is included.

Peak list (10 most intense, 15° ≤ 2θ ≤ 90°, low angle first)
29.4°, I 17, (1 0 3); 31.1°, I 58, (0 1 3); 31.4°, I 22, (2 1 0); 31.9°, I 21, (2 0 2); 32.6°, I 100, (2 1 1); 33.4°, I 68, (0 2 0); 33.9°, I 65, (1 1 3); 37.6°, I 24, (1 0 4); 51.2°, I 20, (1 2 4); 59.3°, I 19, (2 3 1)

Cell and atoms:
```
data_Nd2ReC2
_chemical_formula_sum 'Nd8 Re4 C8'
_symmetry_space_group_name_H-M 'P n m a'
_symmetry_Int_Tables_number 62
_cell_length_a 6.723
_cell_length_b 5.361
_cell_length_c 10.223
_cell_angle_alpha 90.00
_cell_angle_beta 90.00
_cell_angle_gamma 90.00
loop_
_symmetry_equiv_pos_as_xyz
'x,y,z'
'-x,-y,-z'
'-x+1/2,-y,z+1/2'
'x+1/2,y,-z+1/2'
'x+1/2,-y+1/2,-z+1/2'
'-x+1/2,y+1/2,z+1/2'
'-x,y+1/2,-z'
'x,-y+1/2,z'
loop_
_atom_site_label
_atom_site_fract_x
_atom_site_fract_y
_atom_site_fract_z
Nd1 0.027 0.250 0.214
Nd2 0.187 0.250 0.551
Re1 0.229 0.250 0.858
C1 0.035 0.750 0.242
C2 0.187 0.750 0.537
```

No. 11
Theoretical XRD peak list
Compound: NdRuC2
Radiation: Cu Ka
Structure: a structure optimized by DFT (PBE)
No peak broadening, texture or thermal motion is included.

Peak list (10 most intense, 15° ≤ 2θ ≤ 90°, low angle first)
28.8°, I 75, (1 0 3); 32.5°, I 23, (1 1 0); 32.7°, I 100, (1 0 4); 33.0°, I 63, (1 1 1); 34.6°, I 67, (1 1 2); 37.0°, I 22, (1 1 3); 37.2°, I 67, (1 0 5); 47.0°, I 53, (2 0 1); 53.9°, I 28, (2 1 2); 64.6°, I 43, (2 1 6)

Cell and atoms:
```
data_NdRuC2
_chemical_formula_sum 'Nd4 Ru4 C8'
_symmetry_space_group_name_H-M 'P 41'
_symmetry_Int_Tables_number 76
_cell_length_a 3.897
_cell_length_b 3.897
_cell_length_c 15.411
_cell_angle_alpha 90.00
_cell_angle_beta 90.00
_cell_angle_gamma 90.00
loop_
_symmetry_equiv_pos_as_xyz
'x,y,z'
'-y,x,z+1/4'
'-x,-y,z+1/2'
'y,-x,z+3/4'
loop_
_atom_site_label
_atom_site_fract_x
_atom_site_fract_y
_atom_site_fract_z
Nd1 0.140 0.143 0.000
Ru1 0.352 0.359 0.601
C1 0.141 0.640 0.145
C2 0.349 0.350 0.469
```

No. 12
Theoretical XRD peak list
Compound: Nd4C2S
Radiation: Cu Ka
Structure: a structure optimized by DFT (PBE)
No peak broadening, texture or thermal motion is included.

Peak list (10 most intense, 15° ≤ 2θ ≤ 90°, low angle first)
26.7°, I 39, (0 0 12); 27.3°, I 17, (0 1 2); 29.2°, I 100, (0 1 5); 31.2°, I 80, (1 0 7); 35.1°, I 45, (1 0 10); 39.9°, I 17, (1 0 13); 47.3°, I 37, (0 1 17); 47.5°, I 47, (1 1 0); 55.3°, I 32, (1 1 12); 56.8°, I 16, (2 0 5)

Cell and atoms:
```
data_Nd4C2S
_chemical_formula_sum 'Nd12 C6 S3'
_symmetry_space_group_name_H-M 'R -3 m'
_symmetry_Int_Tables_number 166
_symmetry_space_group_name_Hall '-R 3 2"'
_cell_length_a 3.8252
_cell_length_b 3.8252
_cell_length_c 40.0930
_cell_angle_alpha 90.00
_cell_angle_beta 90.00
_cell_angle_gamma 120.00
loop_
_atom_site_label
_atom_site_fract_x
_atom_site_fract_y
_atom_site_fract_z
Nd1 0.0000 0.0000 0.1163
Nd2 0.0000 0.0000 0.2877
C1 0.0000 0.0000 0.4184
S1 0.0000 0.0000 0.0000
```

No. 13
Theoretical XRD peak list
Compound: Nd8CSe3S4
Radiation: Cu Ka
Structure: a structure optimized by DFT (PBE)
No peak broadening, texture or thermal motion is included.

Peak list (10 most intense, 15° ≤ 2θ ≤ 90°, low angle first)
26.5°, I 34, (2 0 2); 26.8°, I 12, (0 0 6); 30.8°, I 100, (0 2 4); 43.8°, I 34, (2 2 0); 44.3°, I 35, (2 0 8); 52.1°, I 9, (2 2 6); 54.5°, I 17, (4 0 4); 64.0°, I 10, (0 4 8); 72.4°, I 12, (2 4 4); 73.0°, I 14, (2 2 12)

Cell and atoms:
```
data_Nd8CSe3S4
_chemical_formula_sum 'Nd24 C3 Se9 S12'
_symmetry_space_group_name_H-M 'R -3 m'
_symmetry_Int_Tables_number 166
_symmetry_space_group_name_Hall '-R 3 2"'
_cell_length_a 8.2615
_cell_length_b 8.2615
_cell_length_c 19.9637
_cell_angle_alpha 90.00
_cell_angle_beta 90.00
_cell_angle_gamma 120.00
loop_
_atom_site_label
_atom_site_fract_x
_atom_site_fract_y
_atom_site_fract_z
Nd1 0.0000 0.0000 0.2438
Nd2 0.0327 0.5163 0.7464
C1 0.0000 0.0000 0.0000
Se1 0.0000 0.5000 0.0000
S1 0.0000 0.0000 0.5000
S2 0.0000 0.5000 0.5000
```